Calculated powder diffractogram
Compound: KBaUN3
Radiation: Cu Kα X-rays
Structure: a DFT-relaxed cell (GGA-PBE, Alexandria)
Neutral-atom scattering factors, no anomalous dispersion.

Peak list (12 most intense, 2θ = 15–90°, low angle first)
h k l, Position (°2θ), I_rel
1 1 0, 15.4, 360
1 1 -1, 19.9, 272
1 1 1, 22.8, 229
1 3 -1, 27.2, 1000
2 0 0, 28.2, 537
1 3 1, 29.4, 946
0 0 2, 29.7, 455
2 0 -2, 38.1, 297
3 3 -1, 47.9, 240
2 6 0, 49.3, 187
1 3 -3, 49.9, 218
0 6 2, 50.2, 204

Structure:
a = 6.3945 Å, b = 13.6848 Å, c = 6.0762 Å
α = 90.00°, β = 98.49°, γ = 90.00°
Space group C2/c (No. 15)
Asymmetric unit:
K 0.0000 0.2356 0.2500 x4
Ba 0.0000 0.4092 0.7500 x4
U 0.0000 0.0660 0.7500 x4
N 0.0000 0.2095 0.7500 x4
N 0.1967 0.0268 0.4921 x8

---

Calculated powder diffractogram
Compound: KBa3Na8
Radiation: Cu Kα X-rays
Structure: a DFT-relaxed cell (GGA-PBE, Alexandria)
Neutral-atom scattering factors, no anomalous dispersion.

Peak list (12 most intense, 2θ = 15–90°, low angle first)
h k l, Position (°2θ), I_rel
0 1 8, 24.2, 568
1 1 0, 24.4, 562
1 0 10, 28.5, 340
2 0 2, 28.6, 1000
1 0 16, 42.6, 123
3 0 0, 42.9, 365
2 1 10, 45.6, 361
0 2 16, 49.7, 162
2 2 0, 50.0, 160
2 1 16, 56.1, 108
4 1 0, 68.0, 123
3 2 10, 70.0, 145

Structure:
a = 7.2951 Å, b = 7.2951 Å, c = 36.0851 Å
α = 90.00°, β = 90.00°, γ = 120.00°
Space group R3m (No. 160, hexagonal axes)
Asymmetric unit:
K 0.0000 0.0000 0.0000 x3
Ba 0.0000 0.0000 0.1261 x3
Ba 0.0000 0.0000 0.4997 x3
Ba 0.0000 0.0000 0.6232 x3
Na 0.0000 0.0000 0.3122 x3
Na 0.0000 0.0000 0.8128 x3
Na 0.0016 0.5008 0.0635 x9
Na 0.1680 0.3360 0.8946 x9

---

Calculated powder diffractogram
Compound: KBa4Nb3O12
Radiation: Cu Kα X-rays
Structure: a DFT-relaxed cell (GGA-PBE, Alexandria)
Neutral-atom scattering factors, no anomalous dispersion.

Peak list (12 most intense, 2θ = 15–90°, low angle first)
h k l, Position (°2θ), I_rel
2 0 0, 20.8, 26
2 1 1, 25.5, 20
2 2 0, 29.5, 1000
2 2 2, 36.4, 93
4 0 0, 42.2, 318
4 2 0, 47.5, 18
4 2 2, 52.4, 393
4 4 0, 61.3, 194
6 2 0, 69.5, 179
6 2 2, 73.4, 27
4 4 4, 77.2, 63
6 4 2, 84.8, 210

Structure:
a = 8.5576 Å, b = 8.5576 Å, c = 8.5576 Å
α = 90.00°, β = 90.00°, γ = 90.00°
Space group Im-3m (No. 229)
Asymmetric unit:
K 0.0000 0.0000 0.0000 x2
Ba 0.2500 0.2500 0.2500 x8
Nb 0.0000 0.0000 0.5000 x6
O 0.0000 0.0000 0.2782 x12
O 0.0000 0.2500 0.5000 x12

---

Calculated powder diffractogram
Compound: K4BaNb5O15
Radiation: Cu Kα X-rays
Structure: a DFT-relaxed cell (GGA-PBE, Alexandria)
Neutral-atom scattering factors, no anomalous dispersion.

Peak list (12 most intense, 2θ = 15–90°, low angle first)
h k l, Position (°2θ), I_rel
1 1 0, 16.3, 27
1 1 -1, 20.0, 17
1 1 1, 21.8, 193
3 1 0, 22.2, 16
5 1 0, 31.0, 1000
2 2 2, 44.4, 381
1 3 1, 50.0, 76
5 3 0, 55.2, 380
0 4 0, 64.7, 221
7 3 -3, 69.1, 33
2 4 2, 73.4, 161
8 4 -2, 81.8, 71

Structure:
a = 17.2991 Å, b = 5.7633 Å, c = 7.0651 Å
α = 90.00°, β = 105.80°, γ = 90.00°
Space group C2/m (No. 12)
Asymmetric unit:
K 0.0998 0.0000 0.4018 x4
K 0.2007 0.5000 0.7995 x4
Ba 0.0000 0.5000 0.0000 x2
Nb 0.0000 0.5000 0.5000 x2
Nb 0.1020 0.0000 0.9005 x4
Nb 0.2014 0.5000 0.3035 x4
O 0.0000 0.0000 0.0000 x2
O 0.0497 0.2521 0.7022 x8
O 0.0993 0.5000 0.3969 x4
O 0.1490 0.2516 0.0992 x8
O 0.2001 0.0000 0.7998 x4
O 0.2500 0.2500 0.5000 x4